Diffraction record for LiY2AlO5. The PXRD pattern is calculated, not measured: it uses the GGA-PBE geometry in Alexandria and Cu Kα (weighted mean of Kα1 and Kα2).

Peak list (8 most intense, 2θ = 10–90°, sorted by position)
| d [Å] | 2theta | Rel. int. |
| --- | --- | --- |
| 5.573 | 15.90 | 1000 |
| 4.538 | 19.56 | 238 |
| 2.870 | 31.16 | 175 |
| 2.783 | 32.17 | 630 |
| 2.552 | 35.17 | 754 |
| 1.999 | 45.36 | 617 |
| 1.907 | 47.69 | 216 |
| 1.499 | 61.89 | 204 |

Atomic structure:
```
LiY2AlO5
1.0
6.4183 0.0000 0.0000
0.0000 6.4183 0.0000
0.0000 0.0000 5.5726
Li Y Al O
2 4 2 10
Direct
0.0000 0.0000 0.0000
0.5000 0.5000 0.0000
0.1786 0.3214 0.5000
0.3214 0.8214 0.5000
0.6786 0.1786 0.5000
0.8214 0.6786 0.5000
0.0000 0.5000 0.0000
0.5000 0.0000 0.0000
0.0000 0.0000 0.5000
0.1365 0.6365 0.2350
0.1365 0.6365 0.7650
0.3635 0.1365 0.2350
0.3635 0.1365 0.7650
0.5000 0.5000 0.5000
0.6365 0.8635 0.2350
0.6365 0.8635 0.7650
0.8635 0.3635 0.2350
0.8635 0.3635 0.7650
```

---

Diffraction record for Li2ZrAlO4. The PXRD pattern is calculated, not measured: it uses the GGA-PBE geometry in Alexandria and Cu Kα (weighted mean of Kα1 and Kα2).

Peak list (8 most intense, 2θ = 10–90°, sorted by position)
| d [Å] | 2theta | Rel. int. |
| --- | --- | --- |
| 4.854 | 18.28 | 154 |
| 3.768 | 23.61 | 1000 |
| 2.537 | 35.38 | 228 |
| 2.484 | 36.17 | 181 |
| 2.427 | 37.04 | 214 |
| 2.044 | 44.32 | 348 |
| 1.797 | 50.82 | 230 |
| 1.563 | 59.09 | 198 |

Atomic structure:
```
Li2ZrAlO4
1.0
4.0879 0.0000 0.0000
0.0000 4.0879 0.0000
0.0000 0.0000 9.7084
Li Zr Al O
4 2 2 8
Direct
0.0000 0.0000 0.0000
0.0000 0.5000 0.2500
0.5000 0.0000 0.7500
0.5000 0.5000 0.5000
0.0000 0.5000 0.7500
0.5000 0.0000 0.2500
0.0000 0.0000 0.5000
0.5000 0.5000 0.0000
0.0000 0.0000 0.3083
0.0000 0.0000 0.6917
0.0000 0.5000 0.5141
0.0000 0.5000 0.9859
0.5000 0.0000 0.0141
0.5000 0.0000 0.4859
0.5000 0.5000 0.1917
0.5000 0.5000 0.8083
```

---

Diffraction record for Li2AlOs. The PXRD pattern is calculated, not measured: it uses the GGA-PBE geometry in Alexandria and Cu Kα (weighted mean of Kα1 and Kα2).

Peak list (8 most intense, 2θ = 10–90°, sorted by position)
| d [Å] | 2theta | Rel. int. |
| --- | --- | --- |
| 4.271 | 20.80 | 463 |
| 3.947 | 22.53 | 1000 |
| 2.615 | 34.29 | 365 |
| 2.398 | 37.50 | 300 |
| 2.338 | 38.51 | 199 |
| 2.051 | 44.17 | 531 |
| 1.975 | 45.94 | 271 |
| 1.695 | 54.11 | 202 |

Atomic structure:
```
Li2AlOs
1.0
2.7471 0.0000 0.0000
0.0000 4.4508 0.0000
0.0000 0.0000 8.5418
Li Al Os
4 2 2
Direct
0.0000 0.0000 0.0000
0.0000 0.5000 0.2726
0.5000 0.0000 0.7726
0.5000 0.5000 0.5000
0.0000 0.0000 0.5194
0.5000 0.5000 0.0194
0.0000 0.5000 0.7592
0.5000 0.0000 0.2592
```

---

Diffraction record for Li3AlOs. The PXRD pattern is calculated, not measured: it uses the GGA-PBE geometry in Alexandria and Cu Kα (weighted mean of Kα1 and Kα2).

Peak list (8 most intense, 2θ = 10–90°, sorted by position)
| d [Å] | 2theta | Rel. int. |
| --- | --- | --- |
| 4.640 | 19.13 | 707 |
| 3.281 | 27.18 | 1000 |
| 2.679 | 33.45 | 185 |
| 2.320 | 38.82 | 235 |
| 2.075 | 43.62 | 354 |
| 1.894 | 48.03 | 427 |
| 1.467 | 63.39 | 188 |
| 1.240 | 76.88 | 217 |

Atomic structure:
```
Li3AlOs
1.0
4.6400 0.0000 0.0000
0.0000 4.6400 0.0000
0.0000 0.0000 4.6400
Li Al Os
3 1 1
Direct
0.0000 0.0000 0.5000
0.0000 0.5000 0.0000
0.5000 0.0000 0.0000
0.5000 0.5000 0.5000
0.0000 0.0000 0.0000
```

---

Diffraction record for Li3Al4Os2. The PXRD pattern is calculated, not measured: it uses the GGA-PBE geometry in Alexandria and Cu Kα (weighted mean of Kα1 and Kα2).

Peak list (8 most intense, 2θ = 10–90°, sorted by position)
| d [Å] | 2theta | Rel. int. |
| --- | --- | --- |
| 4.056 | 21.91 | 376 |
| 3.683 | 24.16 | 188 |
| 3.354 | 26.58 | 1000 |
| 2.727 | 32.85 | 188 |
| 2.180 | 41.43 | 448 |
| 2.126 | 42.51 | 421 |
| 1.883 | 48.33 | 281 |
| 1.796 | 50.84 | 175 |

Atomic structure:
```
Li3Al4Os2
1.0
4.2527 0.0000 0.0000
-2.1264 3.6830 0.0000
0.0000 0.0000 8.1122
Li Al Os
3 4 2
Direct
0.0000 0.0000 0.0000
0.3333 0.6667 0.4486
0.6667 0.3333 0.5514
0.0000 0.0000 0.3139
0.0000 0.0000 0.6861
0.3333 0.6667 0.1105
0.6667 0.3333 0.8895
0.3333 0.6667 0.7888
0.6667 0.3333 0.2112
```

---

Diffraction record for LiAl6Os5. The PXRD pattern is calculated, not measured: it uses the GGA-PBE geometry in Alexandria and Cu Kα (weighted mean of Kα1 and Kα2).

Peak list (8 most intense, 2θ = 10–90°, sorted by position)
| d [Å] | 2theta | Rel. int. |
| --- | --- | --- |
| 3.089 | 28.90 | 339 |
| 2.990 | 29.89 | 617 |
| 2.148 | 42.06 | 1000 |
| 2.120 | 42.64 | 243 |
| 2.108 | 42.91 | 232 |
| 1.495 | 62.09 | 156 |
| 1.229 | 77.66 | 171 |
| 1.225 | 78.04 | 160 |

Atomic structure:
```
LiAl6Os5
1.0
-2.1203 3.0892 6.3227
2.1203 -3.0892 6.3227
2.1203 3.0892 -6.3227
Li Al Os
1 6 5
Direct
0.0000 0.0000 0.0000
0.0847 0.8294 0.2554
0.2610 0.5000 0.7610
0.4260 0.1706 0.2554
0.5740 0.8294 0.7446
0.7390 0.5000 0.2390
0.9153 0.1706 0.7446
0.1593 0.6593 0.5000
0.3341 0.3341 0.0000
0.5000 0.0000 0.5000
0.6659 0.6659 0.0000
0.8407 0.3407 0.5000
```

---

Diffraction record for LiAl2P2. The PXRD pattern is calculated, not measured: it uses the GGA-PBE geometry in Alexandria and Cu Kα (weighted mean of Kα1 and Kα2).

Peak list (8 most intense, 2θ = 10–90°, sorted by position)
| d [Å] | 2theta | Rel. int. |
| --- | --- | --- |
| 4.850 | 18.29 | 304 |
| 3.429 | 25.98 | 138 |
| 2.257 | 39.94 | 1000 |
| 2.169 | 41.64 | 259 |
| 1.617 | 56.96 | 106 |
| 1.488 | 62.39 | 119 |
| 1.322 | 71.37 | 101 |
| 1.190 | 80.78 | 161 |

Atomic structure:
```
LiAl2P2
1.0
6.8585 0.0000 0.0000
0.0000 6.8585 0.0000
0.0000 0.0000 3.3332
Li Al P
2 4 4
Direct
0.0000 0.0000 0.0000
0.5000 0.5000 0.0000
0.1409 0.3591 0.5000
0.3591 0.8591 0.5000
0.6409 0.1409 0.5000
0.8591 0.6409 0.5000
0.1641 0.6641 0.0000
0.3359 0.1641 0.0000
0.6641 0.8359 0.0000
0.8359 0.3359 0.0000
```

---

Diffraction record for LiAlP2. The PXRD pattern is calculated, not measured: it uses the GGA-PBE geometry in Alexandria and Cu Kα (weighted mean of Kα1 and Kα2).

Peak list (8 most intense, 2θ = 10–90°, sorted by position)
| d [Å] | 2theta | Rel. int. |
| --- | --- | --- |
| 5.041 | 17.59 | 716 |
| 4.387 | 20.24 | 437 |
| 3.547 | 25.11 | 1000 |
| 3.102 | 28.78 | 278 |
| 2.775 | 32.26 | 710 |
| 2.161 | 41.79 | 331 |
| 1.787 | 51.12 | 526 |
| 1.705 | 53.76 | 295 |

Atomic structure:
```
LiAlP2
1.0
6.2048 0.0000 0.0000
0.0000 6.2048 0.0000
0.0000 0.0000 8.6457
Li Al P
4 4 8
Direct
0.2323 0.2323 0.0000
0.2677 0.7323 0.2500
0.7323 0.2677 0.7500
0.7677 0.7677 0.5000
0.2301 0.7699 0.7500
0.2699 0.2699 0.5000
0.7301 0.7301 0.0000
0.7699 0.2301 0.2500
0.1000 0.8390 0.0006
0.1610 0.9000 0.4994
0.3390 0.4000 0.7506
0.4000 0.3390 0.2494
0.6000 0.6610 0.7494
0.6610 0.6000 0.2506
0.8390 0.1000 0.9994
0.9000 0.1610 0.5006
```

---

Diffraction record for Li2AlPPd. The PXRD pattern is calculated, not measured: it uses the GGA-PBE geometry in Alexandria and Cu Kα (weighted mean of Kα1 and Kα2).

Peak list (8 most intense, 2θ = 10–90°, sorted by position)
| d [Å] | 2theta | Rel. int. |
| --- | --- | --- |
| 4.667 | 19.02 | 1000 |
| 4.504 | 19.71 | 447 |
| 3.300 | 27.02 | 970 |
| 2.662 | 33.67 | 654 |
| 2.333 | 38.58 | 463 |
| 2.087 | 43.35 | 238 |
| 1.860 | 48.97 | 356 |
| 1.620 | 56.82 | 291 |

Atomic structure:
```
Li2AlPPd
1.0
4.6669 0.0000 0.0000
0.0000 4.6669 0.0000
0.0000 0.0000 4.5037
Li Al P Pd
2 1 1 1
Direct
0.0000 0.5000 0.0000
0.5000 0.0000 0.0000
0.0000 0.0000 0.0000
0.5000 0.5000 0.5000
0.0000 0.0000 0.5000
```

---

Diffraction record for LiPa2Al. The PXRD pattern is calculated, not measured: it uses the GGA-PBE geometry in Alexandria and Cu Kα (weighted mean of Kα1 and Kα2).

Peak list (8 most intense, 2θ = 10–90°, sorted by position)
| d [Å] | 2theta | Rel. int. |
| --- | --- | --- |
| 5.777 | 15.34 | 1000 |
| 2.888 | 30.96 | 207 |
| 2.622 | 34.20 | 358 |
| 2.516 | 35.69 | 172 |
| 2.458 | 36.55 | 484 |
| 2.322 | 38.78 | 203 |
| 2.095 | 43.19 | 250 |
| 2.019 | 44.90 | 247 |

Atomic structure:
```
LiPa2Al
1.0
3.0358 0.0000 0.0000
-1.5179 2.6291 0.0000
0.0000 0.0000 34.6617
Li Pa Al
3 6 3
Direct
0.0000 0.0000 0.0000
0.3333 0.6667 0.6667
0.6667 0.3333 0.3333
0.0000 0.0000 0.0908
0.0000 0.0000 0.9092
0.3333 0.6667 0.5758
0.3333 0.6667 0.7575
0.6667 0.3333 0.2425
0.6667 0.3333 0.4242
0.0000 0.0000 0.5000
0.3333 0.6667 0.1667
0.6667 0.3333 0.8333
```

---

Diffraction record for Li5AlPb4. The PXRD pattern is calculated, not measured: it uses the GGA-PBE geometry in Alexandria and Cu Kα (weighted mean of Kα1 and Kα2).

Peak list (8 most intense, 2θ = 10–90°, sorted by position)
| d [Å] | 2theta | Rel. int. |
| --- | --- | --- |
| 3.530 | 25.23 | 444 |
| 3.467 | 25.70 | 1000 |
| 2.726 | 32.86 | 244 |
| 2.473 | 36.32 | 798 |
| 2.451 | 36.66 | 458 |
| 2.013 | 45.03 | 392 |
| 1.550 | 59.64 | 204 |
| 1.419 | 65.79 | 293 |

Atomic structure:
```
Li5AlPb4
1.0
3.4666 0.0000 0.0000
0.0000 3.4666 0.0000
0.0000 0.0000 17.6497
Li Al Pb
5 1 4
Direct
0.0000 0.0000 0.0000
0.0000 0.0000 0.2109
0.0000 0.0000 0.4173
0.0000 0.0000 0.5827
0.0000 0.0000 0.7891
0.5000 0.5000 0.5000
0.5000 0.5000 0.1047
0.5000 0.5000 0.3177
0.5000 0.5000 0.6823
0.5000 0.5000 0.8953
```

---

Diffraction record for LiAlPb2S4. The PXRD pattern is calculated, not measured: it uses the GGA-PBE geometry in Alexandria and Cu Kα (weighted mean of Kα1 and Kα2).

Peak list (8 most intense, 2θ = 10–90°, sorted by position)
| d [Å] | 2theta | Rel. int. |
| --- | --- | --- |
| 5.529 | 16.03 | 566 |
| 5.241 | 16.92 | 639 |
| 5.199 | 17.05 | 603 |
| 3.599 | 24.74 | 469 |
| 3.296 | 27.06 | 1000 |
| 3.222 | 27.69 | 953 |
| 2.987 | 29.92 | 569 |
| 2.799 | 31.97 | 462 |

Atomic structure:
```
LiAlPb2S4
1.0
6.4422 0.0000 0.0000
3.1598 5.6549 0.0000
3.2090 1.2190 5.6721
Li Al Pb S
1 1 2 4
Direct
0.0000 0.0000 0.0000
0.7315 0.7576 0.7572
0.3010 0.3432 0.1490
0.5511 0.5879 0.4287
0.0875 0.7135 0.7891
0.3774 0.9387 0.0450
0.6848 0.9404 0.4045
0.7443 0.3807 0.8188
```

---

Diffraction record for Li5AlPd4. The PXRD pattern is calculated, not measured: it uses the GGA-PBE geometry in Alexandria and Cu Kα (weighted mean of Kα1 and Kα2).

Peak list (8 most intense, 2θ = 10–90°, sorted by position)
| d [Å] | 2theta | Rel. int. |
| --- | --- | --- |
| 5.127 | 17.30 | 225 |
| 3.035 | 29.43 | 1000 |
| 3.007 | 29.71 | 486 |
| 2.164 | 41.75 | 293 |
| 2.153 | 41.96 | 579 |
| 2.129 | 42.46 | 281 |
| 2.119 | 42.66 | 549 |
| 1.738 | 52.67 | 285 |

Atomic structure:
```
Li5AlPd4
1.0
6.3468 -2.1290 0.0000
6.3468 2.1290 0.0000
-1.4437 0.0000 5.1267
Li Al Pd
5 1 4
Direct
0.0000 0.0000 0.0000
0.2048 0.2048 0.3027
0.3953 0.3953 0.0990
0.6047 0.6047 0.9010
0.7952 0.7952 0.6973
0.0000 0.0000 0.5000
0.1976 0.1976 0.7929
0.4041 0.4041 0.5986
0.5959 0.5959 0.4014
0.8024 0.8024 0.2071
```

---

Diffraction record for LiAl3Pd. The PXRD pattern is calculated, not measured: it uses the GGA-PBE geometry in Alexandria and Cu Kα (weighted mean of Kα1 and Kα2).

Peak list (8 most intense, 2θ = 10–90°, sorted by position)
| d [Å] | 2theta | Rel. int. |
| --- | --- | --- |
| 4.548 | 19.52 | 915 |
| 4.023 | 22.09 | 384 |
| 3.720 | 23.92 | 572 |
| 3.168 | 28.16 | 313 |
| 2.311 | 38.98 | 1000 |
| 2.197 | 41.09 | 419 |
| 2.162 | 41.78 | 448 |
| 2.120 | 42.65 | 883 |

Atomic structure:
```
LiAl3Pd
1.0
6.5837 0.0000 0.0000
0.0000 6.3362 0.0000
-5.6592 0.0000 7.3175
Li Al Pd
4 12 4
Direct
0.0748 0.1387 0.1240
0.0748 0.3613 0.6240
0.9252 0.6387 0.3760
0.9252 0.8613 0.8760
0.2749 0.6001 0.9360
0.2749 0.8999 0.4360
0.2789 0.1540 0.9358
0.2789 0.3460 0.4358
0.4743 0.6184 0.7250
0.4743 0.8816 0.2250
0.5257 0.1184 0.7750
0.5257 0.3816 0.2750
0.7211 0.6540 0.5642
0.7211 0.8460 0.0642
0.7251 0.1001 0.5640
0.7251 0.3999 0.0640
0.1394 0.6209 0.1803
0.1394 0.8791 0.6803
0.8606 0.1209 0.3197
0.8606 0.3791 0.8197
```